LiCrSi3O8: calculated powder diffractogram (Cu Kα X-rays), based on the PBE+U geometry in Alexandria.

Main lines, by angle (5° ≤ 2θ ≤ 70°):
- hkl 0 0 1, 2θ 11.31, intensity 61
- hkl 0 1 1, 2θ 14.39, intensity 86
- hkl 1 0 1, 2θ 18.78, intensity 100
- hkl 1 1 1, 2θ 19.10, intensity 94
- hkl 1 1 0, 2θ 19.81, intensity 100
- hkl 0 1 2, 2θ 22.34, intensity 77
- hkl 1 -1 0, 2θ 23.01, intensity 50
- hkl 1 2 0, 2θ 29.38, intensity 61
- hkl 1 1 3, 2θ 33.21, intensity 39
- hkl 2 0 0, 2θ 34.03, intensity 48

Structure:
Cell: 5.462 7.234 8.465 Å, 69.33 77.41 77.59°
Space group P-1 (No. 2)
Asymmetric unit:
Li: 0.222 0.379 0.280 [2 per cell]
Cr: 0.237 0.907 0.093 [2 per cell]
Si: 0.214 0.360 0.827 [2 per cell]
Si: 0.216 0.776 0.760 [2 per cell]
Si: 0.357 0.704 0.490 [2 per cell]
O: 0.060 0.760 0.619 [2 per cell]
O: 0.071 0.657 0.185 [2 per cell]
O: 0.128 0.938 0.861 [2 per cell]
O: 0.239 0.545 0.894 [2 per cell]
O: 0.299 0.871 0.314 [2 per cell]
O: 0.359 0.433 0.613 [2 per cell]
O: 0.373 0.175 0.961 [2 per cell]
O: 0.491 0.775 0.621 [2 per cell]